Entry 1:
LiAu4Se4Cl4O12: theoretical XRD peak list (a wavelength of 1.5418 Å), based on DFT lattice parameters and positions (GGA-PBE).
No peak broadening, texture or thermal motion is included.

Principal peaks in the range 10° ≤ 2θ ≤ 90°, by angle:
- 2θ = 12.99°, rel. 29.1
- 2θ = 17.32°, rel. 32.1
- 2θ = 17.78°, rel. 28.5
- 2θ = 19.80°, rel. 100.0
- 2θ = 26.42°, rel. 42.7
- 2θ = 26.75°, rel. 22.8
- 2θ = 27.45°, rel. 55.1
- 2θ = 27.59°, rel. 25.8
- 2θ = 29.16°, rel. 29.2
- 2θ = 40.55°, rel. 21.0

Atomic structure:
Lattice parameters (Å, degrees): 4.4981 10.1241 10.9854 99.17 91.40 93.04
Sites, in units of the cell vectors:
Li (0.0000, 0.0000, 0.0000)
Au (0.0139, 0.6247, 0.0341)
Au (0.0196, 0.6299, 0.5321)
Au (0.9878, 0.2034, 0.3429)
Au (0.9919, 0.0573, 0.7335)
Se (0.2077, 0.9244, 0.4496)
Se (0.2802, 0.4876, 0.2655)
Se (0.7255, 0.7550, 0.8057)
Se (0.8045, 0.3426, 0.6243)
Cl (0.2859, 0.4398, 0.9787)
Cl (0.2938, 0.1180, 0.1816)
Cl (0.6870, 0.1412, 0.8973)
Cl (0.7482, 0.8173, 0.0925)
O (0.0108, 0.8854, 0.8214)
O (0.0656, 0.2356, 0.6666)
O (0.0834, 0.6169, 0.2149)
O (0.0931, 0.4590, 0.6047)
O (0.2995, 0.9845, 0.6036)
O (0.3538, 0.5724, 0.4140)
O (0.6881, 0.2736, 0.4739)
O (0.6876, 0.6906, 0.6516)
O (0.9292, 0.0250, 0.4069)
O (0.9354, 0.7966, 0.4554)
O (0.9476, 0.6325, 0.8515)
O (0.9632, 0.3838, 0.2791)

Entry 2:
Rb2LiAuCl6: theoretical XRD peak list (a wavelength of 1.5418 Å), based on DFT lattice parameters and positions (GGA-PBE).
No peak broadening, texture or thermal motion is included.

Principal peaks in the range 10° ≤ 2θ ≤ 90°, by angle:
- 2θ = 14.58°, rel. 100.0
- 2θ = 23.60°, rel. 92.9
- 2θ = 24.54°, rel. 39.9
- 2θ = 27.01°, rel. 48.7
- 2θ = 28.66°, rel. 26.0
- 2θ = 32.19°, rel. 32.2
- 2θ = 34.98°, rel. 56.9
- 2θ = 36.81°, rel. 31.9
- 2θ = 42.63°, rel. 37.9
- 2θ = 48.28°, rel. 37.7

Atomic structure:
Lattice parameters (Å, degrees): 7.5654 7.5654 7.5654 122.70 122.70 85.38
Sites, in units of the cell vectors:
Rb (0.2500, 0.7500, 0.5000)
Rb (0.7500, 0.2500, 0.5000)
Li (0.0000, 0.0000, 0.0000)
Au (0.5000, 0.5000, 0.0000)
Cl (0.2041, 0.2041, 0.0000)
Cl (0.2730, 0.2730, 0.5460)
Cl (0.2730, 0.7270, 0.0000)
Cl (0.7270, 0.2730, 0.0000)
Cl (0.7270, 0.7270, 0.4540)
Cl (0.7959, 0.7959, 0.0000)

What did the first record say?
LiAu4Se4Cl4O12: theoretical XRD peak list (a wavelength of 1.5418 Å), based on DFT lattice parameters and positions (GGA-PBE).
No peak broadening, texture or thermal motion is included.

Principal peaks in the range 10° ≤ 2θ ≤ 90°, by angle:
- 2θ = 12.99°, rel. 29.1
- 2θ = 17.32°, rel. 32.1
- 2θ = 17.78°, rel. 28.5
- 2θ = 19.80°, rel. 100.0
- 2θ = 26.42°, rel. 42.7
- 2θ = 26.75°, rel. 22.8
- 2θ = 27.45°, rel. 55.1
- 2θ = 27.59°, rel. 25.8
- 2θ = 29.16°, rel. 29.2
- 2θ = 40.55°, rel. 21.0

Atomic structure:
Lattice parameters (Å, degrees): 4.4981 10.1241 10.9854 99.17 91.40 93.04
Sites, in units of the cell vectors:
Li (0.0000, 0.0000, 0.0000)
Au (0.0139, 0.6247, 0.0341)
Au (0.0196, 0.6299, 0.5321)
Au (0.9878, 0.2034, 0.3429)
Au (0.9919, 0.0573, 0.7335)
Se (0.2077, 0.9244, 0.4496)
Se (0.2802, 0.4876, 0.2655)
Se (0.7255, 0.7550, 0.8057)
Se (0.8045, 0.3426, 0.6243)
Cl (0.2859, 0.4398, 0.9787)
Cl (0.2938, 0.1180, 0.1816)
Cl (0.6870, 0.1412, 0.8973)
Cl (0.7482, 0.8173, 0.0925)
O (0.0108, 0.8854, 0.8214)
O (0.0656, 0.2356, 0.6666)
O (0.0834, 0.6169, 0.2149)
O (0.0931, 0.4590, 0.6047)
O (0.2995, 0.9845, 0.6036)
O (0.3538, 0.5724, 0.4140)
O (0.6881, 0.2736, 0.4739)
O (0.6876, 0.6906, 0.6516)
O (0.9292, 0.0250, 0.4069)
O (0.9354, 0.7966, 0.4554)
O (0.9476, 0.6325, 0.8515)
O (0.9632, 0.3838, 0.2791)